Structure and theoretical powder diffraction line list of Ba4PrErCu6O14 (a DFT-relaxed cell (PBE, the Materials Project); Cu Kα (λ = 1.5418 Å)).
Lines closer than 0.1° are merged.

Principal peaks in the range 10° ≤ 2θ ≤ 80°, in order of falling intensity:
- (1 0 6), 2θ 32.2, d = 2.778 Å, intensity 100.0
- (1 1 0), 2θ 32.4, d = 2.766 Å, intensity 92.5
- (0 1 6), 2θ 31.9, d = 2.805 Å, intensity 90.6
- (1 2 6), 2θ 57.2, d = 1.609 Å, intensity 37.9
- (1 1 12), 2θ 57.0, d = 1.617 Å, intensity 35.9
- (2 1 6), 2θ 57.8, d = 1.594 Å, intensity 33.3
- (1 1 6), 2θ 39.7, d = 2.272 Å, intensity 28.9
- (0 2 0), 2θ 46.0, d = 1.974 Å, intensity 27.8
- (2 0 0), 2θ 46.9, d = 1.937 Å, intensity 26.2
- (0 0 12), 2θ 45.5, d = 1.993 Å, intensity 19.6

abc: 3.875 3.949 23.915
angles: 90.00 90.00 90.00
Sites, in units of the cell vectors:
Ba 0.000 0.000 0.159
Ba 0.000 0.000 0.340
Ba 0.000 0.000 0.660
Ba 0.000 0.000 0.841
Pr 0.000 0.000 0.500
Er 0.000 0.000 0.000
Cu 0.500 0.500 0.073
Cu 0.500 0.500 0.250
Cu 0.500 0.500 0.423
Cu 0.500 0.500 0.577
Cu 0.500 0.500 0.750
Cu 0.500 0.500 0.927
O 0.000 0.500 0.059
O 0.000 0.500 0.436
O 0.000 0.500 0.564
O 0.000 0.500 0.941
O 0.500 0.000 0.060
O 0.500 0.000 0.250
O 0.500 0.000 0.435
O 0.500 0.000 0.565
O 0.500 0.000 0.750
O 0.500 0.000 0.940
O 0.500 0.500 0.170
O 0.500 0.500 0.329
O 0.500 0.500 0.671
O 0.500 0.500 0.830